Record 1
For Ba2LaTaO6, a cell relaxed with GGA-PBE gives the theoretical powder X-ray diffraction pattern in this record (Cu Kα (λ = 1.5418 Å)).
Peak positions follow from Bragg's law for the DFT cell and can differ from measured ones.

Main lines, by angle (10° ≤ 2θ ≤ 90°):
d = 3.100 Å, intensity 100
d = 3.068 Å, intensity 100
d = 2.181 Å, intensity 54
d = 1.790 Å, intensity 23
d = 1.784 Å, intensity 43
d = 1.765 Å, intensity 20
d = 1.550 Å, intensity 16
d = 1.534 Å, intensity 17
d = 1.383 Å, intensity 18
d = 1.375 Å, intensity 19

Cell and atoms:
```
Ba2LaTaO6
1.0
3.1002 1.7899 4.9834
-3.1002 1.7899 4.9834
0.0000 -3.5798 4.9834
Ba La Ta O
2 1 1 6
Direct
0.2477 0.2477 0.2477
0.7523 0.7523 0.7523
0.5000 0.5000 0.5000
0.0000 0.0000 0.0000
0.1709 0.7768 0.2856
0.2232 0.7144 0.8291
0.2856 0.1709 0.7768
0.7144 0.8291 0.2232
0.7768 0.2856 0.1709
0.8291 0.2232 0.7144
```

=====

Record 2
For LaFeGe3, a cell relaxed with GGA-PBE gives the theoretical powder X-ray diffraction pattern in this record (Cu Kα (λ = 1.5418 Å)).
Peak positions follow from Bragg's law for the DFT cell and can differ from measured ones.

Main lines, by angle (10° ≤ 2θ ≤ 90°):
d = 3.087 Å, intensity 12
d = 2.652 Å, intensity 34
d = 2.628 Å, intensity 100
d = 2.504 Å, intensity 17
d = 2.183 Å, intensity 53
d = 1.685 Å, intensity 17
d = 1.645 Å, intensity 19
d = 1.543 Å, intensity 17
d = 1.469 Å, intensity 14
d = 1.331 Å, intensity 24

Cell and atoms:
```
LaFeGe3
1.0
-2.1828 2.1828 5.0086
2.1828 -2.1828 5.0086
2.1828 2.1828 -5.0086
La Fe Ge
1 1 3
Direct
0.0000 0.0000 0.0000
0.6654 0.6654 0.0000
0.2561 0.7561 0.5000
0.4377 0.4377 0.0000
0.7561 0.2561 0.5000
```

=====

Record 3
For Nb3SI7, a cell relaxed with GGA-PBE gives the theoretical powder X-ray diffraction pattern in this record (Cu Kα (λ = 1.5418 Å)).
Peak positions follow from Bragg's law for the DFT cell and can differ from measured ones.

Main lines, by angle (10° ≤ 2θ ≤ 90°):
d = 7.950 Å, intensity 26
d = 6.745 Å, intensity 36
d = 6.544 Å, intensity 59
d = 5.922 Å, intensity 32
d = 3.374 Å, intensity 100
d = 3.341 Å, intensity 37
d = 3.272 Å, intensity 77
d = 3.193 Å, intensity 43
d = 2.308 Å, intensity 41
d = 2.122 Å, intensity 34

Cell and atoms:
```
Nb3SI7
1.0
16.1153 0.0000 0.0000
0.0000 12.7711 0.0000
-1.3138 0.0000 7.9427
Nb S I
12 4 28
Direct
0.1386 0.0018 0.0817
0.1386 0.4982 0.5817
0.2900 0.6096 0.6289
0.2900 0.8904 0.1289
0.2917 0.1098 0.1553
0.2917 0.3902 0.6553
0.7083 0.6098 0.3447
0.7083 0.8902 0.8447
0.7100 0.1096 0.8711
0.7100 0.3904 0.3711
0.8614 0.5018 0.4183
0.8614 0.9982 0.9183
0.2439 0.0121 0.8977
0.2439 0.4879 0.3977
0.7561 0.5121 0.6023
0.7561 0.9879 0.1023
0.0197 0.0073 0.7713
0.0197 0.4927 0.2713
0.1366 0.7213 0.5748
0.1366 0.7787 0.0748
0.1395 0.2237 0.1206
0.1395 0.2763 0.6206
0.2339 0.5123 0.9110
0.2339 0.9877 0.4110
0.3639 0.7185 0.3686
0.3639 0.7815 0.8686
0.3705 0.2457 0.9369
0.3705 0.2543 0.4369
0.4451 0.5042 0.7274
0.4451 0.9958 0.2274
0.5549 0.0042 0.7726
0.5549 0.4958 0.2726
0.6295 0.7457 0.5631
0.6295 0.7543 0.0631
0.6361 0.2185 0.1314
0.6361 0.2815 0.6314
0.7661 0.0123 0.5890
0.7661 0.4877 0.0890
0.8605 0.7237 0.3794
0.8605 0.7763 0.8794
0.8634 0.2213 0.9252
0.8634 0.2787 0.4252
0.9803 0.5073 0.7287
0.9803 0.9927 0.2287
```